This entry pairs a crystal structure of NbZnCdNi with its calculated powder diffraction line list. Radiation: Cu Kα (weighted mean of Kα1 and Kα2). Structure: a DFT-relaxed cell (PBE, Alexandria).

Largest 7 diffraction maxima, by angle, 10 to 80 degrees two-theta:
2theta	I_rel	hkl
24.45	1	1 1 1
28.31	6	2 0 0
40.47	100	2 2 0
50.12	2	2 2 2
58.56	16	4 0 0
66.30	2	4 2 0
73.60	31	4 2 2

```
data_NbZnCdNi
_chemical_formula_sum 'Nb4 Zn4 Cd4 Ni4'
_space_group_name_H-M_alt 'F -4 3 m'
_space_group_IT_number 216
_space_group_name_Hall 'F -4 2 3'
_cell_length_a 6.305
_cell_length_b 6.305
_cell_length_c 6.305
_cell_angle_alpha 90.00
_cell_angle_beta 90.00
_cell_angle_gamma 90.00
loop_
_atom_site_label
_atom_site_fract_x
_atom_site_fract_y
_atom_site_fract_z
Nb1 0.000 0.000 0.000
Zn1 0.250 0.250 0.750
Cd1 0.000 0.000 0.500
Ni1 0.250 0.250 0.250
```